Theoretical powder diffractogram
Compound: La3Zn2Si4Ni2
Radiation: λ = 1.5418 Å (Cu Kα)
Structure: a DFT-relaxed cell (GGA-PBE, OQMD)
Neutral-atom scattering factors, no anomalous dispersion.

Atomic structure:
```
La3Zn2Si4Ni2
1.0
-2.092 2.132 12.016
2.092 -2.132 12.016
2.092 2.132 -12.016
La Zn Si Ni
3 2 4 2
Cartesian
0.000 0.000 0.000 La
2.092 0.000 3.707 La
0.000 2.132 8.308 La
2.092 0.000 9.598 Zn
0.000 2.132 2.418 Zn
2.092 0.000 7.108 Si
0.000 0.000 10.825 Si
0.000 0.000 13.206 Si
0.000 2.132 4.907 Si
0.000 0.000 5.991 Ni
0.000 0.000 18.040 Ni
```

Main lines, sorted by position (10° ≤ 2θ ≤ 90°):
two_theta	I_rel
23.99	19.1
33.51	100.0
40.06	20.1
42.40	17.7
43.24	16.8
55.79	12.2

***

Theoretical powder diffractogram
Compound: LaSmNi4
Radiation: λ = 1.5418 Å (Cu Kα)
Structure: a DFT-relaxed cell (GGA-PBE, OQMD)
Neutral-atom scattering factors, no anomalous dispersion.

Atomic structure:
```
LaSmNi4
1.0
0.000 3.646 3.646
3.646 0.000 3.646
3.646 3.646 0.000
La Sm Ni
1 1 4
Cartesian
0.000 0.000 0.000 La
1.823 1.823 1.823 Sm
4.550 2.741 2.741 Ni
2.741 4.550 2.741 Ni
2.741 2.741 4.550 Ni
4.550 4.550 4.550 Ni
```

Main lines, sorted by position (10° ≤ 2θ ≤ 90°):
two_theta	I_rel
34.80	58.6
41.06	100.0
42.97	17.8
62.39	21.5
66.65	30.4
73.47	22.7

***

Theoretical powder diffractogram
Compound: LaNi4Sn2
Radiation: λ = 1.5418 Å (Cu Kα)
Structure: a DFT-relaxed cell (GGA-PBE, OQMD)
Neutral-atom scattering factors, no anomalous dispersion.

Atomic structure:
```
LaNi4Sn2
1.0
-3.872 3.872 3.958
3.872 -3.872 3.958
3.872 3.872 -3.958
La Ni Sn
2 8 4
Cartesian
0.000 0.000 1.979 La
0.000 0.000 5.937 La
2.803 -1.069 1.295 Ni
4.941 -1.069 2.663 Ni
4.941 1.069 1.295 Ni
2.803 1.069 2.663 Ni
1.069 2.803 1.295 Ni
-1.069 2.803 2.663 Ni
-1.069 4.941 1.295 Ni
1.069 4.941 2.663 Ni
2.641 1.232 0.000 Sn
2.641 -1.232 3.958 Sn
1.232 5.104 0.000 Sn
1.232 2.641 3.958 Sn
```

Main lines, sorted by position (10° ≤ 2θ ≤ 90°):
two_theta	I_rel
27.81	27.3
32.34	35.8
36.69	91.4
43.10	100.0
49.93	16.5
75.25	26.0

***

Theoretical powder diffractogram
Compound: LaTaNi2Sn2
Radiation: λ = 1.5418 Å (Cu Kα)
Structure: a DFT-relaxed cell (GGA-PBE, OQMD)
Neutral-atom scattering factors, no anomalous dispersion.

Atomic structure:
```
LaTaNi2Sn2
1.0
4.380 0.000 0.000
0.000 9.034 0.000
0.000 0.000 6.356
La Ta Ni Sn
2 2 4 4
Cartesian
0.000 1.073 0.000 La
2.190 7.961 3.178 La
0.000 5.597 6.352 Ta
2.190 3.437 3.174 Ta
0.000 3.563 4.701 Ni
0.000 7.558 4.911 Ni
2.190 1.476 1.733 Ni
2.190 5.470 1.523 Ni
0.000 1.375 3.205 Sn
0.000 5.536 3.093 Sn
2.190 3.498 6.271 Sn
2.190 7.659 0.027 Sn
```

Main lines, sorted by position (10° ≤ 2θ ≤ 90°):
two_theta	I_rel
28.08	27.1
28.38	52.2
39.92	22.1
40.35	100.0
41.22	25.2
72.78	18.7

***

Theoretical powder diffractogram
Compound: La2OsO5
Radiation: λ = 1.5418 Å (Cu Kα)
Structure: a DFT-relaxed cell (GGA-PBE, OQMD)
Neutral-atom scattering factors, no anomalous dispersion.

Atomic structure:
```
La2OsO5
1.0
-4.464 4.464 2.989
4.464 -4.464 2.989
4.464 4.464 -2.989
La Os O
4 2 10
Cartesian
2.840 0.935 0.000 La
3.528 -1.623 2.989 La
0.935 6.087 0.000 La
1.623 3.528 2.989 La
0.000 0.000 1.891 Os
0.000 0.000 4.087 Os
3.609 2.780 -1.546 O
1.683 -0.854 1.443 O
4.464 0.000 1.495 O
2.780 5.318 -1.546 O
0.854 1.683 1.443 O
3.609 2.780 1.546 O
1.683 -0.854 4.535 O
0.000 4.464 1.495 O
2.780 5.318 1.546 O
0.854 1.683 4.535 O
```

Main lines, sorted by position (10° ≤ 2θ ≤ 90°):
two_theta	I_rel
14.03	18.6
26.85	100.0
31.70	44.1
33.16	23.3
45.44	27.4
53.57	26.6

***

Theoretical powder diffractogram
Compound: La6OsO12
Radiation: λ = 1.5418 Å (Cu Kα)
Structure: a DFT-relaxed cell (GGA-PBE, OQMD)
Neutral-atom scattering factors, no anomalous dispersion.

Atomic structure:
```
La6OsO12
1.0
5.128 2.961 3.293
-5.128 2.961 3.293
0.000 -5.922 3.293
La Os O
6 1 12
Cartesian
-2.750 -2.537 5.113 La
-3.572 1.113 4.765 La
0.822 -3.650 4.765 La
-0.822 3.650 5.113 La
3.572 -1.113 5.113 La
2.750 2.537 4.765 La
0.000 0.000 4.939 Os
-1.358 -4.242 4.238 O
-4.353 -0.945 5.640 O
-1.618 -0.363 3.882 O
-2.995 3.298 4.238 O
1.123 -1.220 3.882 O
-0.495 -1.583 5.996 O
0.495 1.583 3.882 O
-1.123 1.220 5.996 O
2.995 -3.298 5.640 O
1.618 0.363 5.996 O
4.353 0.945 4.238 O
1.358 4.242 5.640 O
```

Main lines, sorted by position (10° ≤ 2θ ≤ 90°):
two_theta	I_rel
27.08	33.1
28.07	100.0
32.24	46.6
45.60	30.5
46.87	27.8
54.97	26.1

***

Theoretical powder diffractogram
Compound: LaPrP2Os2O2
Radiation: λ = 1.5418 Å (Cu Kα)
Structure: a DFT-relaxed cell (GGA-PBE, OQMD)
Neutral-atom scattering factors, no anomalous dispersion.

Atomic structure:
```
LaPrP2Os2O2
1.0
4.062 0.000 0.000
0.000 4.062 0.000
0.000 0.000 8.374
La Pr P Os O
1 1 2 2 2
Cartesian
0.000 0.000 0.000 La
2.031 2.031 5.953 Pr
0.000 0.000 4.195 P
2.031 2.031 1.800 P
0.000 2.031 3.002 Os
2.031 0.000 3.002 Os
0.000 2.031 7.160 O
2.031 0.000 7.160 O
```

Main lines, sorted by position (10° ≤ 2θ ≤ 90°):
two_theta	I_rel
10.56	65.8
30.67	60.0
32.97	100.0
37.99	72.9
44.62	53.8
54.22	53.9

***

Theoretical powder diffractogram
Compound: LaSmP2Os2O2
Radiation: λ = 1.5418 Å (Cu Kα)
Structure: a DFT-relaxed cell (GGA-PBE, OQMD)
Neutral-atom scattering factors, no anomalous dispersion.

Atomic structure:
```
LaSmP2Os2O2
1.0
4.046 0.000 0.000
0.000 4.046 0.000
0.000 0.000 8.276
La Sm P Os O
1 1 2 2 2
Cartesian
0.000 0.000 0.000 La
2.023 2.023 5.916 Sm
0.000 0.000 4.187 P
2.023 2.023 1.777 P
0.000 2.023 2.992 Os
2.023 0.000 2.992 Os
0.000 2.023 7.042 O
2.023 0.000 7.042 O
```

Main lines, sorted by position (10° ≤ 2θ ≤ 90°):
two_theta	I_rel
10.69	58.2
30.91	60.5
33.13	100.0
38.24	69.1
44.80	53.1
54.75	52.8

***

Theoretical powder diffractogram
Compound: LaZn3Os4O12
Radiation: λ = 1.5418 Å (Cu Kα)
Structure: a DFT-relaxed cell (GGA-PBE, OQMD)
Neutral-atom scattering factors, no anomalous dispersion.

Atomic structure:
```
LaZn3Os4O12
1.0
-3.796 3.796 3.796
3.796 -3.796 3.796
3.796 3.796 -3.796
La Zn Os O
1 3 4 12
Cartesian
0.000 0.000 0.000 La
3.796 0.000 0.000 Zn
0.000 3.796 0.000 Zn
0.000 0.000 3.796 Zn
1.898 1.898 -1.898 Os
1.898 -1.898 1.898 Os
-1.898 1.898 1.898 Os
1.898 1.898 1.898 Os
3.796 2.431 -1.482 O
2.314 0.000 1.365 O
5.278 0.000 1.365 O
1.365 2.314 0.000 O
2.431 -1.482 3.796 O
0.000 1.365 2.314 O
3.796 2.431 1.482 O
1.365 5.278 0.000 O
2.431 1.482 3.796 O
-1.482 3.796 2.431 O
1.482 3.796 2.431 O
0.000 1.365 5.278 O
```

Main lines, sorted by position (10° ≤ 2θ ≤ 90°):
two_theta	I_rel
23.44	20.0
33.38	100.0
47.93	22.7
59.67	44.6
70.12	13.0
79.92	17.5

***

Theoretical powder diffractogram
Compound: LaPaPO
Radiation: λ = 1.5418 Å (Cu Kα)
Structure: a DFT-relaxed cell (GGA-PBE, OQMD)
Neutral-atom scattering factors, no anomalous dispersion.

Atomic structure:
```
LaPaPO
1.0
4.264 0.000 0.000
0.000 4.264 0.000
0.000 0.000 9.546
La Pa P O
2 2 2 2
Cartesian
1.066 1.066 1.124 La
3.198 3.198 8.422 La
1.066 3.198 4.773 Pa
3.198 1.066 4.773 Pa
1.066 1.066 6.722 P
3.198 3.198 2.824 P
1.066 3.198 0.000 O
3.198 1.066 0.000 O
```

Main lines, sorted by position (10° ≤ 2θ ≤ 90°):
two_theta	I_rel
18.59	49.9
28.05	59.9
31.11	100.0
35.20	65.6
42.40	40.0
48.66	45.5